# K4LiI6
Calculated powder X-ray diffraction pattern, copper Kα. Input: a crystal structure in Alexandria, relaxed with PBE.
Intensities are scaled so that the largest is 100.

Structure:
Lattice parameters (Å, degrees): 16.6671 8.7713 15.4807 90.00 105.50 90.00
Space group Cc (No. 9)
Unique sites:
1 K 0.0000 0.1732 0.0000 x4
2 K 0.0444 0.2788 0.3412 x4
3 K 0.1795 0.3007 0.7081 x4
4 K 0.3171 0.2049 0.0742 x4
5 Li 0.2595 0.1637 0.3346 x4
6 I 0.0069 0.2109 0.5429 x4
7 I 0.1607 0.3046 0.1806 x4
8 I 0.1659 0.0665 0.8842 x4
9 I 0.2685 0.4119 0.4543 x4
10 I 0.3575 0.1992 0.6374 x4
11 I 0.4134 0.1033 0.3077 x4

Largest 10 diffraction maxima, sorted by position, 2θ from 5° to 70°:
2theta  intensity  hkl
17.58  55.4  1 1 2
20.31  67.1  0 2 0
21.60  51.8  3 1 1
22.16  87.0  4 0 -2
23.11  56.5  2 2 -1
23.51  100.0  2 0 -4
27.12  44.4  0 2 3
27.41  43.3  2 2 2
27.92  55.7  4 0 -4
34.77  87.9  2 0 -6

---

# K2LiMgI6
Calculated powder X-ray diffraction pattern, copper Kα. Input: a crystal structure in Alexandria, relaxed with PBE.
Intensities are scaled so that the largest is 100.

Structure:
Lattice parameters (Å, degrees): 14.9315 7.3020 8.6551 90.00 123.85 90.00
Space group Cm (No. 8)
Unique sites:
1 K 0.0000 0.0000 0.0000 x2
2 K 0.0097 0.5000 0.5104 x2
3 Li 0.2052 0.0000 0.6822 x2
4 Mg 0.2493 0.5000 0.2592 x2
5 I 0.0281 0.5000 0.1223 x2
6 I 0.2095 0.2468 0.9570 x4
7 I 0.3091 0.2461 0.5640 x4
8 I 0.4864 0.5000 0.3948 x2

Largest 10 diffraction maxima, sorted by position, 2θ from 5° to 70°:
2theta  intensity  hkl
23.60  56.0  2 0 1
24.11  34.6  4 0 -1
24.79  57.6  0 0 2
25.43  53.1  4 0 -2
27.40  27.0  0 2 1
28.37  100.0  2 2 0
28.80  22.9  4 0 0
32.08  74.4  2 2 -2
44.01  23.0  2 0 -4
45.22  51.9  4 2 1

---

# KLi2PmI6
Calculated powder X-ray diffraction pattern, copper Kα. Input: a crystal structure in Alexandria, relaxed with PBE.
Intensities are scaled so that the largest is 100.

Structure:
Lattice parameters (Å, degrees): 7.9292 7.9292 21.6909 90.00 90.00 120.00
Space group R3 (No. 146, hexagonal axes)
Unique sites:
1 K 0.0000 0.0000 0.0000 x3
2 Li 0.0000 0.0000 0.2957 x3
3 Li 0.0000 0.0000 0.8010 x3
4 Pm 0.0000 0.0000 0.4844 x3
5 I 0.0056 0.5982 0.0569 x9
6 I 0.0152 0.3360 0.8852 x9

Largest 10 diffraction maxima, sorted by position, 2θ from 5° to 70°:
2theta  intensity  hkl
13.53  17.5  1 0 1
15.27  10.5  0 1 2
20.87  11.1  1 0 4
24.63  19.2  0 0 6
25.63  100.0  2 -1 3
27.24  19.2  2 0 2
33.55  38.8  2 -1 6
39.36  25.5  3 0 0
43.97  24.3  1 1 9
47.56  13.2  2 2 3